The following is a theoretical powder diffraction line list of Cs2Sb8S13. It was derived from the PBE geometry in Alexandria, using copper Kα.
No peak broadening, texture or thermal motion is included.

Structural model:
```
data_Cs2Sb8S13
_chemical_formula_sum 'Cs4 Sb16 S26'
_cell_length_a 8.6174
_cell_length_b 11.6603
_cell_length_c 15.5498
_cell_angle_alpha 86.24
_cell_angle_beta 78.25
_cell_angle_gamma 73.60
_space_group_name_H-M_alt 'P -1'
_space_group_IT_number 2
_space_group_name_Hall '-P 1'
loop_
_atom_site_label
_atom_site_fract_x
_atom_site_fract_y
_atom_site_fract_z
Cs1 0.1230 0.1380 0.0623
Cs2 0.2127 0.4335 0.7659
Sb1 0.0183 0.7764 0.5761
Sb2 0.1329 0.7947 0.2730
Sb3 0.1994 0.4715 0.4145
Sb4 0.2555 0.0068 0.5886
Sb5 0.3315 0.6241 0.0669
Sb6 0.3903 0.0257 0.2726
Sb7 0.4596 0.7299 0.4499
Sb8 0.4732 0.3224 0.1825
S1 0.0521 0.7445 0.1300
S2 0.0556 0.3659 0.5647
S3 0.0953 0.8862 0.6921
S4 0.1112 0.3488 0.3088
S5 0.2225 0.8895 0.4239
S6 0.2700 0.6440 0.9143
S7 0.2880 0.4191 0.0795
S8 0.2888 0.6174 0.5547
S9 0.3387 0.5998 0.2806
S10 0.3405 0.1075 0.7045
S11 0.3409 0.8844 0.1752
S12 0.4765 0.1532 0.4365
S13 0.4945 0.8799 0.8709
```

Principal peaks in the range 2θ from 5° to 70°, in order of rising 2θ:
2θ 5.8, I 100.0
2θ 21.6, I 56.7
2θ 22.0, I 47.9
2θ 22.4, I 32.5
2θ 23.3, I 55.5
2θ 24.7, I 37.7
2θ 30.6, I 46.2
2θ 31.8, I 57.5
2θ 32.5, I 33.8
2θ 36.8, I 36.3